Simulated PXRD pattern
Compound: RbUPdSe4
Radiation: a wavelength of 1.5418 Å
Structure: a cell relaxed with GGA-PBE

a = 7.163 Å, b = 5.769 Å, c = 9.687 Å
α = 90.00°, β = 107.68°, γ = 90.00°
Space group P2_1/m (No. 11)
Unique sites:
Rb (0.235, 0.250, 0.051)
U (0.271, 0.250, 0.551)
Pd (0.253, 0.750, 0.327)
Se (0.030, 0.514, 0.692)
Se (0.437, 0.750, 0.589)
Se (0.483, 0.750, 0.178)

Most intense lines, 2θ from 15° to 90°, most intense first:
30.7°, I = 100.0
31.5°, I = 77.9
40.5°, I = 55.6
41.6°, I = 53.8
27.4°, I = 52.8
18.1°, I = 52.6
31.0°, I = 52.4
41.0°, I = 52.3
37.2°, I = 51.2
33.7°, I = 50.9